The following is a theoretical powder diffraction line list of CeTl3. It was derived from DFT lattice parameters and positions (PBE), using λ = 1.5418 Å (Cu Kα).
Lines closer than 0.1° are merged.

Principal peaks in the range 15 to 90 degrees two-theta, in order of rising 2θ:
2θ/deg	Rel. int.	h k l
18.4	2	1 0 0
26.1	2	1 1 0
32.1	100	1 1 1
37.2	51	2 0 0
41.8	1	2 1 0
53.7	36	2 2 0
63.9	43	3 1 1
67.2	12	2 2 2
79.4	6	4 0 0
88.2	18	3 3 1

Structure:
Cell: 4.8285 4.8285 4.8285 Å, 90.00 90.00 90.00°
Space group Pm-3m (No. 221)
Symmetry-distinct sites (fractional):
Ce1 0.0000 0.0000 0.0000
Tl1 0.0000 0.5000 0.5000